# 1
Starting from a structure optimized by DFT (PBE), the powder X-ray diffraction pattern of Er3PtAu was calculated for λ = 1.5418 Å (Cu Kα).

Cell lengths 4.140, 7.086, 8.756 Å; angles 90.00, 90.00, 90.00 degrees
Fractional coordinates of all 10 atoms:
Er (0.250, 0.007, 0.172)
Er (0.250, 0.250, 0.559)
Er (0.250, 0.493, 0.172)
Er (0.750, 0.507, 0.828)
Er (0.750, 0.750, 0.441)
Er (0.750, 0.993, 0.828)
Pt (0.250, 0.250, 0.904)
Pt (0.750, 0.750, 0.096)
Au (0.250, 0.750, 0.668)
Au (0.750, 0.250, 0.332)

Main lines, sorted by position (2θ from 10° to 90°):
2θ 23.89, I = 16
2θ 29.70, I = 27
2θ 32.33, I = 24
2θ 34.87, I = 100
2θ 39.87, I = 19
2θ 43.72, I = 26


# 2
Starting from a structure optimized by DFT (PBE), the powder X-ray diffraction pattern of Sm3Pd2Rh was calculated for λ = 1.5418 Å (Cu Kα).

Cell lengths 11.624, 4.345, 11.390 Å; angles 90.00, 90.00, 90.00 degrees
Fractional coordinates of all 24 atoms:
Sm (0.043, 0.250, 0.128)
Sm (0.119, 0.750, 0.555)
Sm (0.234, 0.250, 0.792)
Sm (0.266, 0.750, 0.292)
Sm (0.381, 0.250, 0.055)
Sm (0.457, 0.750, 0.628)
Sm (0.543, 0.250, 0.372)
Sm (0.619, 0.750, 0.945)
Sm (0.734, 0.250, 0.708)
Sm (0.766, 0.750, 0.208)
Sm (0.881, 0.250, 0.445)
Sm (0.957, 0.750, 0.872)
Pd (0.003, 0.250, 0.697)
Pd (0.179, 0.750, 0.016)
Pd (0.321, 0.250, 0.516)
Pd (0.497, 0.750, 0.197)
Pd (0.503, 0.250, 0.803)
Pd (0.679, 0.750, 0.484)
Pd (0.821, 0.250, 0.984)
Pd (0.997, 0.750, 0.303)
Rh (0.130, 0.250, 0.375)
Rh (0.370, 0.750, 0.875)
Rh (0.630, 0.250, 0.125)
Rh (0.870, 0.750, 0.625)

Main lines, sorted by position (2θ from 10° to 90°):
2θ 30.09, I = 61
2θ 31.29, I = 100
2θ 34.65, I = 47
2θ 34.79, I = 99
2θ 38.08, I = 58
2θ 41.56, I = 72


# 3
Starting from a structure optimized by DFT (PBE), the powder X-ray diffraction pattern of Cu6AgPd12 was calculated for λ = 1.5418 Å (Cu Kα).

Cell lengths 7.262, 7.262, 7.262 Å; angles 111.00, 111.00, 111.00 degrees
Fractional coordinates of all 19 atoms:
Cu (0.049, 0.576, 0.363)
Cu (0.363, 0.049, 0.576)
Cu (0.424, 0.637, 0.951)
Cu (0.576, 0.363, 0.049)
Cu (0.637, 0.951, 0.424)
Cu (0.951, 0.424, 0.637)
Ag (0.000, 0.000, 0.000)
Pd (0.111, 0.166, 0.736)
Pd (0.166, 0.736, 0.111)
Pd (0.209, 0.325, 0.481)
Pd (0.264, 0.889, 0.834)
Pd (0.325, 0.481, 0.209)
Pd (0.481, 0.209, 0.325)
Pd (0.519, 0.791, 0.675)
Pd (0.675, 0.519, 0.791)
Pd (0.736, 0.111, 0.166)
Pd (0.791, 0.675, 0.519)
Pd (0.834, 0.264, 0.889)
Pd (0.889, 0.834, 0.264)

Main lines, sorted by position (2θ from 10° to 90°):
2θ 40.24, I = 100
2θ 40.41, I = 33
2θ 46.86, I = 64
2θ 68.32, I = 20
2θ 68.55, I = 19
2θ 82.48, I = 23


# 4
Starting from a structure optimized by DFT (PBE), the powder X-ray diffraction pattern of Co5Pt4 was calculated for λ = 1.5418 Å (Cu Kα).

Cell lengths 5.979, 5.979, 5.979 Å; angles 95.48, 95.48, 144.01 degrees
Fractional coordinates of all 9 atoms:
Co (0.000, 0.000, 0.000)
Co (0.000, 0.346, 0.346)
Co (0.000, 0.654, 0.654)
Co (0.346, 0.000, 0.346)
Co (0.654, 0.000, 0.654)
Pt (0.334, 0.334, 0.668)
Pt (0.334, 0.666, 0.000)
Pt (0.666, 0.334, 0.000)
Pt (0.666, 0.666, 0.332)

Main lines, sorted by position (2θ from 10° to 90°):
2θ 26.55, I = 20
2θ 41.63, I = 100
2θ 48.00, I = 33
2θ 49.33, I = 15
2θ 71.29, I = 20
2θ 85.07, I = 25


# 5
Starting from a structure optimized by DFT (PBE), the powder X-ray diffraction pattern of SrLiCdAg3 was calculated for λ = 1.5418 Å (Cu Kα).

Cell lengths 7.486, 7.486, 6.385 Å; angles 90.00, 90.00, 130.28 degrees
Fractional coordinates of all 12 atoms:
Sr (0.201, 0.799, 0.750)
Sr (0.799, 0.201, 0.250)
Li (0.425, 0.575, 0.750)
Li (0.575, 0.425, 0.250)
Cd (0.149, 0.851, 0.250)
Cd (0.851, 0.149, 0.750)
Ag (0.226, 0.226, 0.000)
Ag (0.226, 0.226, 0.500)
Ag (0.364, 0.636, 0.250)
Ag (0.636, 0.364, 0.750)
Ag (0.774, 0.774, 0.000)
Ag (0.774, 0.774, 0.500)

Main lines, sorted by position (2θ from 10° to 90°):
2θ 28.00, I = 44
2θ 30.95, I = 85
2θ 31.33, I = 77
2θ 38.73, I = 100
2θ 39.02, I = 57
2θ 40.24, I = 99


# 6
Starting from a structure optimized by DFT (PBE), the powder X-ray diffraction pattern of Ce2B10Ir was calculated for λ = 1.5418 Å (Cu Kα).

Cell lengths 5.710, 11.413, 4.191 Å; angles 90.00, 90.00, 90.00 degrees
Fractional coordinates of all 26 atoms:
Ce (0.206, 0.135, 0.000)
Ce (0.294, 0.635, 0.000)
Ce (0.706, 0.365, 0.000)
Ce (0.794, 0.865, 0.000)
B (0.054, 0.307, 0.500)
B (0.118, 0.957, 0.500)
B (0.137, 0.803, 0.500)
B (0.218, 0.381, 0.198)
B (0.218, 0.381, 0.802)
B (0.282, 0.881, 0.198)
B (0.282, 0.881, 0.802)
B (0.363, 0.303, 0.500)
B (0.382, 0.457, 0.500)
B (0.446, 0.807, 0.500)
B (0.554, 0.193, 0.500)
B (0.618, 0.543, 0.500)
B (0.637, 0.697, 0.500)
B (0.718, 0.119, 0.198)
B (0.718, 0.119, 0.802)
B (0.782, 0.619, 0.198)
B (0.782, 0.619, 0.802)
B (0.863, 0.197, 0.500)
B (0.882, 0.043, 0.500)
B (0.946, 0.693, 0.500)
Ir (0.000, 0.500, 0.500)
Ir (0.500, 0.000, 0.500)

Main lines, sorted by position (2θ from 10° to 90°):
2θ 22.02, I = 41
2θ 27.53, I = 57
2θ 28.19, I = 28
2θ 30.75, I = 62
2θ 38.15, I = 100
2θ 44.91, I = 29


# 7
Starting from a structure optimized by DFT (PBE), the powder X-ray diffraction pattern of La2Nd2Br7 was calculated for λ = 1.5418 Å (Cu Kα).

Cell lengths 7.694, 7.694, 7.884 Å; angles 90.90, 90.90, 109.40 degrees
Fractional coordinates of all 11 atoms:
La (0.150, 0.850, 0.000)
La (0.850, 0.150, 0.000)
Nd (0.197, 0.197, 0.366)
Nd (0.803, 0.803, 0.634)
Br (0.084, 0.487, 0.219)
Br (0.134, 0.134, 0.735)
Br (0.487, 0.084, 0.219)
Br (0.500, 0.500, 0.500)
Br (0.513, 0.916, 0.781)
Br (0.866, 0.866, 0.265)
Br (0.916, 0.513, 0.781)

Main lines, sorted by position (2θ from 10° to 90°):
2θ 12.20, I = 90
2θ 16.42, I = 80
2θ 18.06, I = 100
2θ 30.70, I = 93
2θ 32.60, I = 93
2θ 37.18, I = 69


# 8
Starting from a structure optimized by DFT (PBE), the powder X-ray diffraction pattern of KPaSe4 was calculated for λ = 1.5418 Å (Cu Kα).

Cell lengths 6.540, 6.540, 8.297 Å; angles 90.00, 90.00, 99.72 degrees
Fractional coordinates of all 12 atoms:
K (0.250, 0.250, 0.000)
K (0.750, 0.750, 0.000)
Pa (0.250, 0.250, 0.500)
Pa (0.750, 0.750, 0.500)
Se (0.081, 0.919, 0.698)
Se (0.105, 0.605, 0.312)
Se (0.395, 0.895, 0.312)
Se (0.419, 0.581, 0.698)
Se (0.581, 0.419, 0.302)
Se (0.605, 0.105, 0.688)
Se (0.895, 0.395, 0.688)
Se (0.919, 0.081, 0.302)

Main lines, sorted by position (2θ from 10° to 90°):
2θ 10.66, I = 100
2θ 27.95, I = 25
2θ 30.23, I = 28
2θ 30.79, I = 24
2θ 35.27, I = 36
2θ 46.77, I = 15